Entry 1:
For In6GaPb, the GGA-PBE geometry in Alexandria gives the calculated powder X-ray diffraction pattern in this record (Cu Kα, 1.54184 Å).
Kinematic intensities with the Lorentz-polarization factor, no thermal factor.

Top 10 peaks for 10° ≤ 2θ ≤ 90°, by angle:
2theta	I (rel.)
32.7	100
35.1	20
39.4	30
53.7	23
56.9	10
61.4	14
67.2	24
68.6	11
87.3	5
88.6	11

Structural model:
a b c (Å): 4.576 4.576 10.238
angles (deg): 90.00 90.00 90.00
Space group P4/mmm (No. 123)
Symmetry-distinct sites (fractional):
In 0.000 0.000 0.000 [1 per cell]
In 0.000 0.000 0.500 [1 per cell]
In 0.000 0.500 0.237 [4 per cell]
Ga 0.500 0.500 0.000 [1 per cell]
Pb 0.500 0.500 0.500 [1 per cell]



Entry 2:
For InGa4Pb, the GGA-PBE geometry in Alexandria gives the calculated powder X-ray diffraction pattern in this record (Cu Kα, 1.54184 Å).
Kinematic intensities with the Lorentz-polarization factor, no thermal factor.

Top 10 peaks for 10° ≤ 2θ ≤ 90°, by angle:
2theta	I (rel.)
32.2	100
33.0	80
35.1	18
37.1	29
39.0	18
41.1	28
56.6	17
62.1	24
65.9	14
69.2	17

Structural model:
a b c (Å): 4.387 7.622 8.145
angles (deg): 90.00 90.00 90.00
Space group Imm2 (No. 44)
Symmetry-distinct sites (fractional):
In 0.000 0.000 0.000 [2 per cell]
Ga 0.000 0.183 0.422 [4 per cell]
Ga 0.000 0.321 0.729 [4 per cell]
Pb 0.000 0.500 0.155 [2 per cell]



Entry 3:
For In9Ga3Pb, the GGA-PBE geometry in Alexandria gives the calculated powder X-ray diffraction pattern in this record (Cu Kα, 1.54184 Å).
Kinematic intensities with the Lorentz-polarization factor, no thermal factor.

Top 10 peaks for 10° ≤ 2θ ≤ 90°, by angle:
2theta	I (rel.)
28.0	34
29.4	65
32.9	37
33.0	32
34.1	100
34.2	25
34.5	62
37.3	39
38.8	18
61.6	25

Structural model:
a b c (Å): 6.369 14.695 7.987
angles (deg): 90.00 113.23 90.00
Space group C2/m (No. 12)
Symmetry-distinct sites (fractional):
In 0.000 0.000 0.000 [2 per cell]
In 0.092 0.391 0.712 [8 per cell]
In 0.171 0.173 0.837 [8 per cell]
Ga 0.000 0.500 0.000 [2 per cell]
Ga 0.250 0.250 0.500 [4 per cell]
Pb 0.000 0.000 0.500 [2 per cell]



Entry 4:
For In7GaPb4, the GGA-PBE geometry in Alexandria gives the calculated powder X-ray diffraction pattern in this record (Cu Kα, 1.54184 Å).
Kinematic intensities with the Lorentz-polarization factor, no thermal factor.

Top 10 peaks for 10° ≤ 2θ ≤ 90°, by angle:
2theta	I (rel.)
30.1	35
31.1	94
31.4	39
31.6	67
32.0	100
33.0	51
35.4	55
37.4	45
38.2	39
52.1	36

Structural model:
a b c (Å): 5.910 6.965 9.085
angles (deg): 74.38 73.81 89.09
Space group P-1 (No. 2)
Symmetry-distinct sites (fractional):
In 0.000 0.000 0.000 [1 per cell]
In 0.256 0.419 0.989 [2 per cell]
In 0.261 0.703 0.659 [2 per cell]
In 0.283 0.211 0.648 [2 per cell]
Ga 0.500 0.000 0.000 [1 per cell]
Pb 0.238 0.595 0.301 [2 per cell]
Pb 0.241 0.079 0.328 [2 per cell]



Entry 5:
For InGaPb3, the GGA-PBE geometry in Alexandria gives the calculated powder X-ray diffraction pattern in this record (Cu Kα, 1.54184 Å).
Kinematic intensities with the Lorentz-polarization factor, no thermal factor.

Top 10 peaks for 10° ≤ 2θ ≤ 90°, by angle:
2theta	I (rel.)
31.5	97
31.6	98
32.5	98
32.8	100
34.3	94
36.1	58
41.1	49
50.5	23
56.0	22
59.0	31

Structural model:
a b c (Å): 6.084 6.094 8.612
angles (deg): 74.60 77.06 70.21
Space group P-1 (No. 2)
Symmetry-distinct sites (fractional):
In 0.196 0.391 0.331 [2 per cell]
Ga 0.225 0.173 0.713 [2 per cell]
Pb 0.234 0.980 0.099 [2 per cell]
Pb 0.271 0.547 0.901 [2 per cell]
Pb 0.297 0.798 0.502 [2 per cell]



Entry 6:
For InGaPb2, the GGA-PBE geometry in Alexandria gives the calculated powder X-ray diffraction pattern in this record (Cu Kα, 1.54184 Å).
Kinematic intensities with the Lorentz-polarization factor, no thermal factor.

Top 10 peaks for 10° ≤ 2θ ≤ 90°, by angle:
2theta	I (rel.)
15.1	53
30.4	83
30.7	64
31.1	100
33.2	90
35.5	69
40.1	58
41.8	31
54.4	49
63.6	61

Structural model:
a b c (Å): 3.3704 3.3704 35.3128
angles (deg): 90.00 90.00 120.00
Space group R-3m (No. 166, hexagonal axes)
Symmetry-distinct sites (fractional):
In 0.0000 0.0000 0.0000 [3 per cell]
Ga 0.0000 0.0000 0.5000 [3 per cell]
Pb 0.0000 0.0000 0.4156 [6 per cell]



Entry 7:
For In2GaPdPb, the GGA-PBE geometry in Alexandria gives the calculated powder X-ray diffraction pattern in this record (Cu Kα, 1.54184 Å).
Kinematic intensities with the Lorentz-polarization factor, no thermal factor.

Top 10 peaks for 10° ≤ 2θ ≤ 90°, by angle:
2theta	I (rel.)
25.1	56
30.3	100
33.9	88
37.5	34
42.6	28
48.7	32
51.4	54
58.5	31
63.0	29
81.4	14

Structural model:
a b c (Å): 5.287 5.287 4.800
angles (deg): 90.00 90.00 90.00
Space group P4/mmm (No. 123)
Symmetry-distinct sites (fractional):
In 0.000 0.500 0.000 [2 per cell]
Ga 0.000 0.000 0.500 [1 per cell]
Pd 0.000 0.000 0.000 [1 per cell]
Pb 0.500 0.500 0.500 [1 per cell]



Entry 8:
For In2Ga2Pd, the GGA-PBE geometry in Alexandria gives the calculated powder X-ray diffraction pattern in this record (Cu Kα, 1.54184 Å).
Kinematic intensities with the Lorentz-polarization factor, no thermal factor.

Top 10 peaks for 10° ≤ 2θ ≤ 90°, by angle:
2theta	I (rel.)
26.7	13
32.9	40
35.6	100
37.9	33
38.3	11
43.0	32
58.7	25
60.6	16
62.4	9
67.0	15

Structural model:
a b c (Å): 6.653 6.653 4.742
angles (deg): 90.00 90.00 90.00
Space group P4/mbm (No. 127)
Symmetry-distinct sites (fractional):
In 0.178 0.322 0.000 [4 per cell]
Ga 0.141 0.641 0.500 [4 per cell]
Pd 0.000 0.000 0.500 [2 per cell]



What did the second record say?
For InGa4Pb, the GGA-PBE geometry in Alexandria gives the calculated powder X-ray diffraction pattern in this record (Cu Kα, 1.54184 Å).
Kinematic intensities with the Lorentz-polarization factor, no thermal factor.

Top 10 peaks for 10° ≤ 2θ ≤ 90°, by angle:
2theta	I (rel.)
32.2	100
33.0	80
35.1	18
37.1	29
39.0	18
41.1	28
56.6	17
62.1	24
65.9	14
69.2	17

Structural model:
a b c (Å): 4.387 7.622 8.145
angles (deg): 90.00 90.00 90.00
Space group Imm2 (No. 44)
Symmetry-distinct sites (fractional):
In 0.000 0.000 0.000 [2 per cell]
Ga 0.000 0.183 0.422 [4 per cell]
Ga 0.000 0.321 0.729 [4 per cell]
Pb 0.000 0.500 0.155 [2 per cell]



Repeat the first record exactly.
For In6GaPb, the GGA-PBE geometry in Alexandria gives the calculated powder X-ray diffraction pattern in this record (Cu Kα, 1.54184 Å).
Kinematic intensities with the Lorentz-polarization factor, no thermal factor.

Top 10 peaks for 10° ≤ 2θ ≤ 90°, by angle:
2theta	I (rel.)
32.7	100
35.1	20
39.4	30
53.7	23
56.9	10
61.4	14
67.2	24
68.6	11
87.3	5
88.6	11

Structural model:
a b c (Å): 4.576 4.576 10.238
angles (deg): 90.00 90.00 90.00
Space group P4/mmm (No. 123)
Symmetry-distinct sites (fractional):
In 0.000 0.000 0.000 [1 per cell]
In 0.000 0.000 0.500 [1 per cell]
In 0.000 0.500 0.237 [4 per cell]
Ga 0.500 0.500 0.000 [1 per cell]
Pb 0.500 0.500 0.500 [1 per cell]